For LiCrPO4, DFT lattice parameters and positions (PBE+U) gives the computed powder diffraction line list in this record (CuKα).
Peak positions follow from Bragg's law for the DFT cell and can differ from measured ones.

Cell and atoms:
```
56
Lattice="5.725 0.000 0.000 0.000 7.869 0.000 0.000 0.000 14.080" Properties=species:S:1:pos:R:3 pbc="T T T"
Li 0.501 1.437 0.433
Li 0.501 2.498 7.473
Li 2.362 5.371 0.433
Li 2.362 6.433 7.473
Li 3.363 1.437 6.607
Li 3.363 2.498 13.647
Li 5.224 5.371 6.607
Li 5.224 6.433 13.647
Cr 0.554 4.833 9.439
Cr 0.554 6.971 2.399
Cr 2.309 0.898 9.439
Cr 2.309 3.037 2.399
Cr 3.416 4.833 11.681
Cr 3.416 6.971 4.641
Cr 5.171 0.898 11.681
Cr 5.171 3.037 4.641
P 0.570 0.268 5.192
P 0.570 3.667 12.232
P 2.292 4.203 5.192
P 2.292 7.601 12.232
P 3.433 0.268 1.848
P 3.433 3.667 8.888
P 5.155 4.203 1.848
P 5.155 7.601 8.888
O 0.233 5.362 1.157
O 0.233 6.442 8.197
O 0.282 1.030 8.858
O 0.282 2.905 1.818
O 0.845 0.651 3.715
O 0.845 3.284 10.755
O 0.933 3.982 5.925
O 0.933 7.822 12.965
O 1.929 0.047 5.925
O 1.929 3.887 12.965
O 2.018 4.586 3.715
O 2.018 7.218 10.755
O 2.581 4.965 8.858
O 2.581 6.839 1.818
O 2.630 1.428 1.157
O 2.630 2.507 8.197
O 3.095 5.362 5.884
O 3.095 6.442 12.924
O 3.144 1.030 12.262
O 3.144 2.905 5.222
O 3.708 0.651 3.325
O 3.708 3.284 10.365
O 3.796 3.982 1.115
O 3.796 7.822 8.155
O 4.792 0.047 1.115
O 4.792 3.887 8.155
O 4.880 4.586 3.325
O 4.880 7.218 10.365
O 5.443 4.965 12.262
O 5.443 6.839 5.222
O 5.493 1.428 5.884
O 5.493 2.507 12.924
```

Most intense lines, 2θ from 10° to 90°, in order of rising 2θ:
two_theta  I/Imax  (hkl)
12.6  65  0 0 2
22.6  53  0 2 0
23.0  85  1 1 2
23.5  32  0 2 1
25.3  81  0 0 4
30.3  40  1 2 2
33.6  68  1 2 3
33.9  100  2 1 1
37.4  32  1 1 5
39.3  50  0 2 5
46.7  27  2 1 5
57.1  39  3 2 3